# 1
Starting from a structure optimized by DFT (PBE), the powder X-ray diffraction pattern of Ho2InAg was simulated for Cu Kα, 1.54184 Å.
Kinematic intensities with the Lorentz-polarization factor, no thermal factor.

Peak list (6 most intense, 10 to 90 degrees two-theta, by intensity)
- 2θ 34.28, I 100.0
- 2θ 61.39, I 36.4
- 2θ 49.26, I 17.8
- 2θ 82.44, I 15.8
- 2θ 72.23, I 11.2
- 2θ 24.06, I 3.5

Structural model:
Cell: 5.2319 5.2319 5.2319 Å, 60.00 60.00 60.00°
Atoms (fractional coordinates):
Ho1 0.2500 0.2500 0.2500
Ho2 0.7500 0.7500 0.7500
In1 0.0000 0.0000 0.0000
Ag1 0.5000 0.5000 0.5000


# 2
Starting from a structure optimized by DFT (PBE), the powder X-ray diffraction pattern of KRbIn4Au8 was simulated for Cu Kα, 1.54184 Å.
Kinematic intensities with the Lorentz-polarization factor, no thermal factor.

Peak list (6 most intense, 10 to 90 degrees two-theta, by intensity)
- 2θ 39.43, I 100.0
- 2θ 31.00, I 50.0
- 2θ 13.73, I 34.3
- 2θ 64.54, I 29.1
- 2θ 42.02, I 20.3
- 2θ 53.04, I 13.3

Structural model:
Cell: 7.6654 7.6654 7.6654 Å, 106.96 106.96 114.62°
Atoms (fractional coordinates):
K1 0.0000 0.0000 0.0000
Rb1 0.5000 0.5000 0.0000
In1 0.1088 0.8912 0.5000
In2 0.3912 0.6088 0.5000
In3 0.6088 0.1088 0.2176
In4 0.8912 0.3912 0.7824
Au1 0.0673 0.2619 0.4976
Au2 0.2357 0.7381 0.8054
Au3 0.2619 0.7643 0.1946
Au4 0.4302 0.2357 0.4976
Au5 0.5698 0.0673 0.8054
Au6 0.7381 0.9327 0.5024
Au7 0.7643 0.5698 0.5024
Au8 0.9327 0.4302 0.1946


# 3
Starting from a structure optimized by DFT (PBE), the powder X-ray diffraction pattern of K2Ta15O32 was simulated for Cu Kα, 1.54184 Å.
Kinematic intensities with the Lorentz-polarization factor, no thermal factor.

Peak list (6 most intense, 10 to 90 degrees two-theta, by intensity)
- 2θ 34.90, I 100.0
- 2θ 27.05, I 93.2
- 2θ 27.95, I 66.1
- 2θ 49.98, I 66.0
- 2θ 16.28, I 63.5
- 2θ 31.82, I 56.6

Structural model:
Cell: 12.8892 12.8892 12.8892 Å, 35.56 35.56 35.56°
Atoms (fractional coordinates):
K1 0.1405 0.1405 0.1405
K2 0.8595 0.8595 0.8595
Ta1 0.0255 0.5707 0.7018
Ta2 0.0534 0.8143 0.2287
Ta3 0.1857 0.7713 0.9466
Ta4 0.2287 0.0534 0.8143
Ta5 0.2982 0.9745 0.4293
Ta6 0.3627 0.3627 0.3627
Ta7 0.4293 0.2982 0.9745
Ta8 0.5000 0.5000 0.5000
Ta9 0.5707 0.7018 0.0255
Ta10 0.6373 0.6373 0.6373
Ta11 0.7018 0.0255 0.5707
Ta12 0.7713 0.9466 0.1857
Ta13 0.8143 0.2287 0.0534
Ta14 0.9466 0.1857 0.7713
Ta15 0.9745 0.4293 0.2982
O1 0.0322 0.1513 0.4451
O2 0.0397 0.2993 0.8596
O3 0.1404 0.9603 0.7007
O4 0.1513 0.4451 0.0322
O5 0.1548 0.5711 0.4578
O6 0.1694 0.2596 0.5708
O7 0.2596 0.5708 0.1694
O8 0.2624 0.4656 0.6753
O9 0.2632 0.2632 0.2632
O10 0.2993 0.8596 0.0397
O11 0.3247 0.7376 0.5344
O12 0.4289 0.5422 0.8452
O13 0.4292 0.8306 0.7404
O14 0.4451 0.0322 0.1513
O15 0.4578 0.1548 0.5711
O16 0.4656 0.6753 0.2624
O17 0.5344 0.3247 0.7376
O18 0.5422 0.8452 0.4289
O19 0.5549 0.9678 0.8487
O20 0.5708 0.1694 0.2596
O21 0.5711 0.4578 0.1548
O22 0.6753 0.2624 0.4656
O23 0.7007 0.1404 0.9603
O24 0.7368 0.7368 0.7368
O25 0.7376 0.5344 0.3247
O26 0.7404 0.4292 0.8306
O27 0.8306 0.7404 0.4292
O28 0.8452 0.4289 0.5422
O29 0.8487 0.5549 0.9678
O30 0.8596 0.0397 0.2993
O31 0.9603 0.7007 0.1404
O32 0.9678 0.8487 0.5549


# 4
Starting from a structure optimized by DFT (PBE), the powder X-ray diffraction pattern of Sm2Th3O9 was simulated for Cu Kα, 1.54184 Å.
Kinematic intensities with the Lorentz-polarization factor, no thermal factor.

Peak list (6 most intense, 10 to 90 degrees two-theta, by intensity)
- 2θ 27.58, I 100.0
- 2θ 45.82, I 49.3
- 2θ 54.32, I 46.0
- 2θ 31.95, I 36.3
- 2θ 73.72, I 18.3
- 2θ 84.79, I 15.4

Structural model:
Cell: 14.2863 14.2863 14.2863 Å, 164.07 164.07 22.61°
Atoms (fractional coordinates):
Sm1 0.1943 0.1943 0.0000
Sm2 0.8057 0.8057 0.0000
Th1 0.0000 0.0000 0.0000
Th2 0.3997 0.3997 0.0000
Th3 0.6003 0.6003 0.0000
O1 0.0532 0.5532 0.5000
O2 0.1565 0.6565 0.5000
O3 0.3435 0.8435 0.5000
O4 0.4468 0.9468 0.5000
O5 0.5470 0.0470 0.5000
O6 0.6456 0.1456 0.5000
O7 0.7500 0.2500 0.5000
O8 0.8544 0.3544 0.5000
O9 0.9530 0.4530 0.5000


# 5
Starting from a structure optimized by DFT (PBE), the powder X-ray diffraction pattern of Fe5Ni4P3 was simulated for Cu Kα, 1.54184 Å.
Kinematic intensities with the Lorentz-polarization factor, no thermal factor.

Peak list (6 most intense, 10 to 90 degrees two-theta, by intensity)
- 2θ 46.71, I 100.0
- 2θ 41.88, I 97.9
- 2θ 41.74, I 96.0
- 2θ 45.33, I 71.7
- 2θ 43.69, I 53.2
- 2θ 42.88, I 52.3

Structural model:
Cell: 4.3917 6.6929 19.0894 Å, 87.87 83.64 71.04°
Atoms (fractional coordinates):
Fe1 0.0000 0.0000 0.0000
Fe2 0.0033 0.7871 0.2820
Fe3 0.1127 0.1433 0.2114
Fe4 0.1702 0.6302 0.0209
Fe5 0.2447 0.8465 0.7387
Fe6 0.2527 0.2093 0.7870
Fe7 0.3108 0.4858 0.4759
Fe8 0.3313 0.9992 0.3323
Fe9 0.3385 0.7862 0.6154
Fe10 0.4469 0.1437 0.5445
Fe11 0.5043 0.6308 0.3542
Fe12 0.5779 0.8469 0.0721
Fe13 0.5866 0.2091 0.1203
Fe14 0.6435 0.4848 0.8087
Fe15 0.6665 0.0003 0.6668
Fe16 0.6710 0.7869 0.9488
Fe17 0.7783 0.1433 0.8782
Fe18 0.8375 0.6302 0.6877
Fe19 0.9132 0.8435 0.4048
Fe20 0.9763 0.4848 0.1421
Ni1 0.0201 0.8626 0.1399
Ni2 0.0843 0.4194 0.9003
Ni3 0.0873 0.2040 0.6598
Ni4 0.1226 0.4268 0.3604
Ni5 0.1973 0.7630 0.8809
Ni6 0.3515 0.8664 0.4729
Ni7 0.4171 0.4199 0.2337
Ni8 0.4198 0.2038 0.9933
Ni9 0.4560 0.4263 0.6929
Ni10 0.5310 0.7630 0.2144
Ni11 0.6865 0.8625 0.8066
Ni12 0.7518 0.2019 0.3266
Ni13 0.7539 0.4187 0.5665
Ni14 0.7891 0.4265 0.0262
Ni15 0.8646 0.7631 0.5475
Ni16 0.9150 0.2103 0.4540
P1 0.1059 0.5703 0.7897
P2 0.1293 0.1578 0.0915
P3 0.2161 0.4740 0.5960
P4 0.3068 0.0569 0.8963
P5 0.4391 0.5702 0.1231
P6 0.4609 0.1570 0.4241
P7 0.5482 0.4746 0.9291
P8 0.6409 0.0573 0.2295
P9 0.7704 0.5731 0.4566
P10 0.7962 0.1579 0.7582
P11 0.8827 0.4731 0.2629
P12 0.9745 0.0562 0.5638


# 6
Starting from a structure optimized by DFT (PBE), the powder X-ray diffraction pattern of Pr2Sn3Pb3S12 was simulated for Cu Kα, 1.54184 Å.
Kinematic intensities with the Lorentz-polarization factor, no thermal factor.

Peak list (6 most intense, 10 to 90 degrees two-theta, by intensity)
- 2θ 26.89, I 100.0
- 2θ 32.12, I 60.9
- 2θ 26.18, I 44.4
- 2θ 22.91, I 34.1
- 2θ 25.93, I 28.0
- 2θ 37.74, I 27.2

Structural model:
Cell: 4.0042 20.6207 11.7517 Å, 90.00 90.00 90.00°
Atoms (fractional coordinates):
Pr1 0.0000 0.0876 0.0000
Pr2 0.0000 0.3948 0.6725
Pr3 0.0000 0.6052 0.1725
Pr4 0.0000 0.9124 0.5000
Sn1 0.5000 0.0765 0.3431
Sn2 0.5000 0.2499 0.8495
Sn3 0.5000 0.4112 0.3662
Sn4 0.5000 0.5888 0.8662
Sn5 0.5000 0.7501 0.3495
Sn6 0.5000 0.9235 0.8431
Pb1 0.0000 0.1233 0.6181
Pb2 0.0000 0.2431 0.2518
Pb3 0.0000 0.4124 0.0457
Pb4 0.0000 0.5876 0.5457
Pb5 0.0000 0.7569 0.7518
Pb6 0.0000 0.8767 0.1181
S1 0.0000 0.0127 0.2830
S2 0.0000 0.2431 0.9926
S3 0.0000 0.2557 0.6996
S4 0.0000 0.3406 0.4452
S5 0.0000 0.4809 0.2893
S6 0.0000 0.5191 0.7893
S7 0.0000 0.6594 0.9452
S8 0.0000 0.7443 0.1996
S9 0.0000 0.7569 0.4926
S10 0.0000 0.9873 0.7830
S11 0.5000 0.0140 0.5321
S12 0.5000 0.1274 0.8286
S13 0.5000 0.1431 0.1576
S14 0.5000 0.1780 0.4503
S15 0.5000 0.3426 0.1862
S16 0.5000 0.3746 0.8461
S17 0.5000 0.4720 0.5567
S18 0.5000 0.5280 0.0567
S19 0.5000 0.6254 0.3461
S20 0.5000 0.6574 0.6862
S21 0.5000 0.8220 0.9503
S22 0.5000 0.8569 0.6576
S23 0.5000 0.8726 0.3286
S24 0.5000 0.9860 0.0321


# 7
Starting from a structure optimized by DFT (PBE), the powder X-ray diffraction pattern of CeYNi4 was simulated for Cu Kα, 1.54184 Å.
Kinematic intensities with the Lorentz-polarization factor, no thermal factor.

Peak list (6 most intense, 10 to 90 degrees two-theta, by intensity)
- 2θ 41.72, I 100.0
- 2θ 35.35, I 48.4
- 2θ 67.81, I 29.8
- 2θ 43.66, I 23.5
- 2θ 74.79, I 22.7
- 2θ 63.46, I 17.3

Structural model:
Cell: 5.0779 5.0779 5.0779 Å, 60.00 60.00 60.00°
Atoms (fractional coordinates):
Ce1 0.0000 0.0000 0.0000
Y1 0.2500 0.2500 0.2500
Ni1 0.1251 0.6250 0.6250
Ni2 0.6250 0.1251 0.6250
Ni3 0.6250 0.6250 0.1251
Ni4 0.6250 0.6250 0.6250


# 8
Starting from a structure optimized by DFT (PBE), the powder X-ray diffraction pattern of NdGa3Ni was simulated for Cu Kα, 1.54184 Å.
Kinematic intensities with the Lorentz-polarization factor, no thermal factor.

Peak list (6 most intense, 10 to 90 degrees two-theta, by intensity)
- 2θ 34.66, I 100.0
- 2θ 42.53, I 53.5
- 2θ 33.81, I 49.1
- 2θ 55.40, I 23.4
- 2θ 72.76, I 22.4
- 2θ 49.68, I 22.0

Structural model:
Cell: 5.9085 5.9085 5.9085 Å, 137.83 137.83 61.16°
Atoms (fractional coordinates):
Nd1 0.0000 0.0000 0.0000
Ga1 0.2520 0.7520 0.5000
Ga2 0.5860 0.5860 0.0000
Ga3 0.7520 0.2520 0.5000
Ni1 0.3576 0.3576 0.0000


Please write out number 7 again, unchanged.
Starting from a structure optimized by DFT (PBE), the powder X-ray diffraction pattern of CeYNi4 was simulated for Cu Kα, 1.54184 Å.
Kinematic intensities with the Lorentz-polarization factor, no thermal factor.

Peak list (6 most intense, 10 to 90 degrees two-theta, by intensity)
- 2θ 41.72, I 100.0
- 2θ 35.35, I 48.4
- 2θ 67.81, I 29.8
- 2θ 43.66, I 23.5
- 2θ 74.79, I 22.7
- 2θ 63.46, I 17.3

Structural model:
Cell: 5.0779 5.0779 5.0779 Å, 60.00 60.00 60.00°
Atoms (fractional coordinates):
Ce1 0.0000 0.0000 0.0000
Y1 0.2500 0.2500 0.2500
Ni1 0.1251 0.6250 0.6250
Ni2 0.6250 0.1251 0.6250
Ni3 0.6250 0.6250 0.1251
Ni4 0.6250 0.6250 0.6250


Repeat the sixth record exactly.
Starting from a structure optimized by DFT (PBE), the powder X-ray diffraction pattern of Pr2Sn3Pb3S12 was simulated for Cu Kα, 1.54184 Å.
Kinematic intensities with the Lorentz-polarization factor, no thermal factor.

Peak list (6 most intense, 10 to 90 degrees two-theta, by intensity)
- 2θ 26.89, I 100.0
- 2θ 32.12, I 60.9
- 2θ 26.18, I 44.4
- 2θ 22.91, I 34.1
- 2θ 25.93, I 28.0
- 2θ 37.74, I 27.2

Structural model:
Cell: 4.0042 20.6207 11.7517 Å, 90.00 90.00 90.00°
Atoms (fractional coordinates):
Pr1 0.0000 0.0876 0.0000
Pr2 0.0000 0.3948 0.6725
Pr3 0.0000 0.6052 0.1725
Pr4 0.0000 0.9124 0.5000
Sn1 0.5000 0.0765 0.3431
Sn2 0.5000 0.2499 0.8495
Sn3 0.5000 0.4112 0.3662
Sn4 0.5000 0.5888 0.8662
Sn5 0.5000 0.7501 0.3495
Sn6 0.5000 0.9235 0.8431
Pb1 0.0000 0.1233 0.6181
Pb2 0.0000 0.2431 0.2518
Pb3 0.0000 0.4124 0.0457
Pb4 0.0000 0.5876 0.5457
Pb5 0.0000 0.7569 0.7518
Pb6 0.0000 0.8767 0.1181
S1 0.0000 0.0127 0.2830
S2 0.0000 0.2431 0.9926
S3 0.0000 0.2557 0.6996
S4 0.0000 0.3406 0.4452
S5 0.0000 0.4809 0.2893
S6 0.0000 0.5191 0.7893
S7 0.0000 0.6594 0.9452
S8 0.0000 0.7443 0.1996
S9 0.0000 0.7569 0.4926
S10 0.0000 0.9873 0.7830
S11 0.5000 0.0140 0.5321
S12 0.5000 0.1274 0.8286
S13 0.5000 0.1431 0.1576
S14 0.5000 0.1780 0.4503
S15 0.5000 0.3426 0.1862
S16 0.5000 0.3746 0.8461
S17 0.5000 0.4720 0.5567
S18 0.5000 0.5280 0.0567
S19 0.5000 0.6254 0.3461
S20 0.5000 0.6574 0.6862
S21 0.5000 0.8220 0.9503
S22 0.5000 0.8569 0.6576
S23 0.5000 0.8726 0.3286
S24 0.5000 0.9860 0.0321


> Number 8 is which compound?

NdGa3Ni


> What is the formula in the sixth record?

Pr2Sn3Pb3S12